For Tb6Mn23, DFT lattice parameters and positions (GGA-PBE) gives the computed X-ray powder pattern in this record (CuKα).
Neutral-atom scattering factors, no anomalous dispersion.

Most intense lines, 2θ from 15° to 90°, sorted by position:
25.62°, I = 31; 29.67°, I = 22; 32.40°, I = 31; 36.55°, I = 35; 38.85°, I = 100; 42.45°, I = 98; 45.16°, I = 19; 54.40°, I = 20; 63.19°, I = 24; 65.79°, I = 28; 79.11°, I = 17; 82.91°, I = 18

Atomic structure:
```
Tb6Mn23
1.0
0.000 6.023 6.023
6.023 0.000 6.023
6.023 6.023 0.000
Tb Mn
6 23
Direct
0.205 0.205 0.795
0.205 0.795 0.205
0.205 0.795 0.795
0.795 0.205 0.205
0.795 0.205 0.795
0.795 0.795 0.205
0.000 0.000 0.500
0.000 0.500 0.000
0.000 0.500 0.500
0.133 0.622 0.622
0.178 0.178 0.178
0.178 0.178 0.467
0.178 0.467 0.178
0.378 0.378 0.378
0.378 0.378 0.867
0.378 0.867 0.378
0.467 0.178 0.178
0.500 0.000 0.000
0.500 0.000 0.500
0.500 0.500 0.000
0.500 0.500 0.500
0.533 0.822 0.822
0.622 0.133 0.622
0.622 0.622 0.133
0.622 0.622 0.622
0.822 0.533 0.822
0.822 0.822 0.533
0.822 0.822 0.822
0.867 0.378 0.378
```